1.
PrMoO4F: computed X-ray powder pattern (Cu Kα, 1.54184 Å), based on a cell relaxed with GGA+U.
Kinematic intensities with the Lorentz-polarization factor, no thermal factor.

Structural model:
```
data_PrMoO4F
_symmetry_space_group_name_H-M 'P 1 21/c 1'
_symmetry_Int_Tables_number 14
_symmetry_space_group_name_Hall '-P 2ybc'
_cell_length_a 7.0816
_cell_length_b 6.6512
_cell_length_c 10.1779
_cell_angle_alpha 90.00
_cell_angle_beta 115.93
_cell_angle_gamma 90.00
loop_
_atom_site_label
_atom_site_type_symbol
_atom_site_fract_x
_atom_site_fract_y
_atom_site_fract_z
_atom_site_occupancy
Pr1 Pr 0.1966 0.1290 0.4220 1
Mo1 Mo 0.3340 0.6362 0.6652 1
O1 O 0.1660 0.6433 0.0815 1
O2 O 0.2142 0.0972 0.0886 1
O3 O 0.4393 0.6078 0.8632 1
O4 O 0.4471 0.1604 0.8729 1
F1 F 0.0134 0.6165 0.7393 1
```

Main lines, by angle (15° ≤ 2θ ≤ 90°):
hkl  Position (°2θ)  I_rel
1 1 -2  22.67  29
0 1 2  23.60  100
1 1 1  24.24  74
2 0 -2  26.19  48
1 1 -3  29.55  49
1 2 -1  29.90  86
2 1 0  31.14  27
0 2 3  40.11  28
1 3 1  45.84  30
3 2 -1  48.08  31

2.
Li9Mn2Co5O16: computed X-ray powder pattern (Cu Kα, 1.54184 Å), based on a cell relaxed with GGA+U.
Kinematic intensities with the Lorentz-polarization factor, no thermal factor.

Structural model:
```
data_Li9Mn2Co5O16
_symmetry_space_group_name_H-M 'P 1'
_symmetry_Int_Tables_number 1
_symmetry_space_group_name_Hall 'P 1'
_cell_length_a 4.9742
_cell_length_b 5.9405
_cell_length_c 10.2539
_cell_angle_alpha 91.90
_cell_angle_beta 99.69
_cell_angle_gamma 103.55
loop_
_atom_site_label
_atom_site_type_symbol
_atom_site_fract_x
_atom_site_fract_y
_atom_site_fract_z
_atom_site_occupancy
Li1 Li 0.0000 0.0000 0.0000 1
Li2 Li 0.0006 0.0064 0.5006 1
Li3 Li 0.0015 0.5021 0.5025 1
Li4 Li 0.4917 0.3757 0.6234 1
Li5 Li 0.4964 0.1251 0.8745 1
Li6 Li 0.4976 0.6192 0.3831 1
Li7 Li 0.5084 0.8871 0.1250 1
Li8 Li 0.9912 0.2495 0.7402 1
Li9 Li 0.9983 0.7584 0.2584 1
Mn1 Mn 0.9945 0.2465 0.2555 1
Mn2 Mn 0.9982 0.5030 0.0021 1
Co1 Co 0.0046 0.7551 0.7458 1
Co2 Co 0.4921 0.1204 0.3802 1
Co3 Co 0.5004 0.6330 0.8751 1
Co4 Co 0.4998 0.8896 0.6179 1
Co5 Co 0.5008 0.3766 0.1287 1
O1 O 0.2293 0.5659 0.6927 1
O2 O 0.2324 0.5270 0.1857 1
O3 O 0.2458 0.0709 0.2035 1
O4 O 0.2462 0.3066 0.4226 1
O5 O 0.2596 0.3312 0.9512 1
O6 O 0.2639 0.0407 0.6856 1
O7 O 0.2642 0.8113 0.9339 1
O8 O 0.2724 0.8237 0.4480 1
O9 O 0.7214 0.1826 0.5521 1
O10 O 0.7236 0.7057 0.5722 1
O11 O 0.7473 0.1982 0.0776 1
O12 O 0.7478 0.9250 0.8015 1
O13 O 0.7500 0.4357 0.3004 1
O14 O 0.7495 0.4559 0.8226 1
O15 O 0.7544 0.6802 0.0591 1
O16 O 0.7567 0.9804 0.3102 1
```

Main lines, by angle (15° ≤ 2θ ≤ 90°):
hkl  Position (°2θ)  I_rel
0 1 1  18.31  100
1 1 -3  34.77  18
1 -1 3  35.93  13
-2 1 1  36.93  11
1 2 -2  41.81  32
1 0 4  43.59  27
-2 2 2  44.96  25
0 2 -6  61.80  8
2 2 2  62.18  8
1 -4 0  62.71  7

3.
Mg6FeBiO8: computed X-ray powder pattern (Cu Kα, 1.54184 Å), based on a cell relaxed with GGA+U.
Kinematic intensities with the Lorentz-polarization factor, no thermal factor.

Structural model:
```
data_Mg6FeBiO8
_symmetry_space_group_name_H-M 'P 4/m m m'
_symmetry_Int_Tables_number 123
_symmetry_space_group_name_Hall '-P 4 2'
_cell_length_a 4.4741
_cell_length_b 4.4741
_cell_length_c 9.0498
_cell_angle_alpha 90.00
_cell_angle_beta 90.00
_cell_angle_gamma 90.00
loop_
_atom_site_label
_atom_site_type_symbol
_atom_site_fract_x
_atom_site_fract_y
_atom_site_fract_z
_atom_site_occupancy
Mg1 Mg 0.0000 0.0000 0.0000 1
Mg2 Mg 0.0000 0.0000 0.5000 1
Mg3 Mg 0.0000 0.5000 0.2259 1
Fe1 Fe 0.5000 0.5000 0.0000 1
Bi1 Bi 0.5000 0.5000 0.5000 1
O1 O 0.0000 0.0000 0.2491 1
O2 O 0.0000 0.5000 0.0000 1
O3 O 0.0000 0.5000 0.5000 1
O4 O 0.5000 0.5000 0.2436 1
```

Main lines, by angle (15° ≤ 2θ ≤ 90°):
hkl  Position (°2θ)  I_rel
0 0 2  19.62  49
1 0 0  19.84  91
1 0 1  22.16  63
1 0 2  28.05  80
1 1 0  28.21  39
1 1 1  29.92  38
1 1 2  34.59  81
0 0 4  39.84  48
2 0 0  40.32  100
2 0 4  57.98  59

4.
MgV4O6F6: computed X-ray powder pattern (Cu Kα, 1.54184 Å), based on a cell relaxed with GGA+U.
Kinematic intensities with the Lorentz-polarization factor, no thermal factor.

Structural model:
```
data_MgV4O6F6
_symmetry_space_group_name_H-M 'P 1'
_symmetry_Int_Tables_number 1
_symmetry_space_group_name_Hall 'P 1'
_cell_length_a 5.1392
_cell_length_b 5.2362
_cell_length_c 9.3563
_cell_angle_alpha 76.79
_cell_angle_beta 77.71
_cell_angle_gamma 61.52
loop_
_atom_site_label
_atom_site_type_symbol
_atom_site_fract_x
_atom_site_fract_y
_atom_site_fract_z
_atom_site_occupancy
Mg1 Mg 0.0000 0.0000 0.0000 1
V1 V 0.1055 0.1430 0.6754 1
V2 V 0.3576 0.3948 0.9188 1
V3 V 0.6230 0.5287 0.2082 1
V4 V 0.8439 0.8354 0.4342 1
O1 O 0.1436 0.2634 0.8435 1
O2 O 0.2980 0.7309 0.8252 1
O3 O 0.6086 0.3230 0.0651 1
O4 O 0.6524 0.7965 0.3215 1
O5 O 0.8197 0.2153 0.3208 1
O6 O 0.9120 0.4649 0.5704 1
F1 F 0.0958 0.8756 0.5589 1
F2 F 0.2333 0.5959 0.3214 1
F3 F 0.3550 0.9129 0.0880 1
F4 F 0.5068 0.0579 0.5771 1
F5 F 0.7398 0.1194 0.8166 1
F6 F 0.9743 0.6013 0.0658 1
```

Main lines, by angle (15° ≤ 2θ ≤ 90°):
hkl  Position (°2θ)  I_rel
0 1 -1  23.16  100
1 1 2  24.62  46
1 1 -2  32.17  11
0 1 3  33.14  13
1 0 3  33.77  16
0 2 -2  47.29  9
2 0 -2  47.40  15
2 2 4  50.47  11
2 1 -3  52.25  12
-1 1 4  52.84  9